# BaSr7N3
Computed powder diffraction line list, λ = 1.5418 Å (Cu Kα). Input: a DFT-relaxed cell (PBE, Alexandria).
Peak positions follow from Bragg's law for the DFT cell and can differ from measured ones.

Main lines, in order of rising 2θ (5 to 70 degrees two-theta):
2θ (°)  d [Å]  intensity  h k l
12.6  7.016  19  0 0 1
25.4  3.508  22  0 0 2
26.0  3.432  18  2 0 0
29.0  3.083  100  2 0 1
36.6  2.453  32  0 2 2
45.8  1.981  21  2 2 0
47.0  1.933  19  2 0 3
53.1  1.725  16  2 2 2

Cell lengths 7.925, 7.925, 7.016 Å; angles 90.00, 90.00, 120.00 degrees
Element x y z (fractional)
Ba: 0.000 0.000 0.000
Sr: 0.023 0.512 0.022
Sr: 0.312 0.156 0.429
Sr: 0.333 0.667 0.436
Sr: 0.488 0.512 0.022
Sr: 0.488 0.977 0.022
Sr: 0.844 0.156 0.429
Sr: 0.844 0.688 0.429
N: 0.169 0.338 0.226
N: 0.169 0.831 0.226
N: 0.662 0.831 0.226